Record 1
Starting from a crystal structure in Alexandria, relaxed with PBE, the X-ray powder pattern of Cs5KRb2Hg2 was simulated for λ = 1.5418 Å (Cu Kα).
No peak broadening, texture or thermal motion is included.

Most intense lines, 5° ≤ 2θ ≤ 70°, low angle first:
| two_theta | I (rel.) | index |
| --- | --- | --- |
| 7.4 | 49 | 1 1 0 |
| 11.7 | 68 | 2 1 0 |
| 21.6 | 45 | 4 1 0 |
| 22.2 | 24 | 3 3 0 |
| 23.3 | 100 | 3 1 1 |
| 25.0 | 86 | 3 2 1 |
| 26.7 | 51 | 4 0 1 |
| 33.0 | 26 | 0 0 2 |
| 37.5 | 34 | 5 5 0 |
| 49.2 | 24 | 6 3 2 |

Structural model:
abc: 16.966 16.966 5.433
angles: 90.00 90.00 90.00
Space group P4/mbm (No. 127)
Asymmetric unit:
Cs 0.000 0.500 0.000 x2
Cs 0.069 0.218 0.000 x8
K 0.000 0.000 0.500 x2
Rb 0.176 0.676 0.500 x4
Hg 0.124 0.376 0.500 x4

---

Record 2
Starting from a crystal structure in Alexandria, relaxed with PBE, the X-ray powder pattern of Na5B7C3 was simulated for λ = 1.5418 Å (Cu Kα).
No peak broadening, texture or thermal motion is included.

Most intense lines, 5° ≤ 2θ ≤ 70°, low angle first:
| two_theta | I (rel.) | index |
| --- | --- | --- |
| 35.1 | 11 | 6 0 2 |
| 36.1 | 18 | 3 1 1 |
| 41.2 | 50 | 10 0 0 |
| 42.0 | 100 | 7 1 -1 |
| 42.4 | 37 | 8 0 -4 |
| 56.2 | 6 | 2 0 -6 |
| 56.8 | 10 | 11 1 -3 |
| 63.6 | 18 | 9 1 3 |
| 65.5 | 8 | 0 2 0 |
| 67.7 | 2 | 5 1 5 |

Structural model:
abc: 22.938 2.852 9.951
angles: 90.00 107.14 90.00
Space group C2/m (No. 12)
Asymmetric unit:
Na 0.000 0.000 0.000 x2
Na 0.000 0.500 0.500 x2
Na 0.099 0.000 0.701 x4
Na 0.101 0.500 0.200 x4
Na 0.200 0.500 0.898 x4
Na 0.201 0.000 0.399 x4
B 0.017 0.500 0.784 x4
B 0.023 0.000 0.296 x4
B 0.086 0.500 0.921 x4
B 0.117 0.500 0.483 x4
B 0.180 0.000 0.110 x4
B 0.211 0.000 0.672 x4
B 0.219 0.500 0.190 x4
C 0.086 0.000 0.421 x4
C 0.118 0.000 0.984 x4
C 0.181 0.500 0.611 x4

---

Record 3
Starting from a crystal structure in Alexandria, relaxed with PBE, the X-ray powder pattern of CePm7Pb5 was simulated for λ = 1.5418 Å (Cu Kα).
No peak broadening, texture or thermal motion is included.

Most intense lines, 5° ≤ 2θ ≤ 70°, low angle first:
| two_theta | I (rel.) | index |
| --- | --- | --- |
| 16.1 | 27 | 0 0 2 |
| 31.0 | 53 | 2 2 0 |
| 31.3 | 56 | 0 4 0 |
| 31.5 | 51 | 1 3 2 |
| 32.6 | 40 | 0 0 4 |
| 35.1 | 100 | 2 2 2 |
| 35.4 | 46 | 0 4 2 |
| 36.2 | 33 | 0 2 4 |
| 55.5 | 27 | 2 6 0 |
| 59.8 | 34 | 2 2 6 |

Structural model:
abc: 6.683 11.444 10.985
angles: 90.00 90.00 90.00
Space group Imm2 (No. 44)
Asymmetric unit:
Ce 0.000 0.000 0.000 x2
Pm 0.000 0.000 0.315 x2
Pm 0.000 0.000 0.652 x2
Pm 0.000 0.333 0.408 x4
Pm 0.000 0.334 0.921 x4
Pm 0.000 0.500 0.664 x2
Pb 0.000 0.500 0.166 x2
Pb 0.244 0.235 0.164 x8

---

Record 4
Starting from a crystal structure in Alexandria, relaxed with PBE, the X-ray powder pattern of KSbC6Br5 was simulated for λ = 1.5418 Å (Cu Kα).
No peak broadening, texture or thermal motion is included.

Most intense lines, 5° ≤ 2θ ≤ 70°, low angle first:
| two_theta | I (rel.) | index |
| --- | --- | --- |
| 6.4 | 100 | 0 0 1 |
| 12.8 | 16 | 0 0 2 |
| 13.3 | 47 | 0 1 1 |
| 16.4 | 24 | 1 1 0 |
| 19.2 | 18 | 0 0 3 |
| 26.7 | 26 | 0 2 2 |
| 30.4 | 20 | 2 0 3 |
| 32.3 | 18 | 0 0 5 |
| 33.2 | 28 | 2 2 0 |
| 47.0 | 18 | 2 2 5 |

Structural model:
abc: 7.624 7.637 13.839
angles: 90.00 90.00 90.00
Space group P2_12_12 (No. 18)
Asymmetric unit:
K 0.000 0.000 0.004 x2
Sb 0.000 0.500 0.802 x2
C 0.000 0.500 0.465 x2
C 0.000 0.500 0.645 x2
C 0.110 0.582 0.581 x4
C 0.137 0.603 0.487 x4
Br 0.000 0.500 0.996 x2
Br 0.199 0.219 0.811 x4
Br 0.219 0.198 0.198 x4

---

Record 5
Starting from a crystal structure in Alexandria, relaxed with PBE, the X-ray powder pattern of LuPu4Mg was simulated for λ = 1.5418 Å (Cu Kα).
No peak broadening, texture or thermal motion is included.

Most intense lines, 5° ≤ 2θ ≤ 70°, low angle first:
| two_theta | I (rel.) | index |
| --- | --- | --- |
| 17.7 | 50 | 1 1 1 |
| 20.5 | 5 | 2 0 0 |
| 29.2 | 8 | 2 2 0 |
| 34.3 | 100 | 3 1 1 |
| 35.9 | 70 | 2 2 2 |
| 41.7 | 21 | 4 0 0 |
| 45.7 | 14 | 3 3 1 |
| 55.1 | 36 | 3 3 3 |
| 60.5 | 34 | 4 4 0 |
| 63.5 | 11 | 5 3 1 |

Structural model:
abc: 8.662 8.662 8.662
angles: 90.00 90.00 90.00
Space group F-43m (No. 216)
Asymmetric unit:
Lu 0.000 0.000 0.000 x4
Pu 0.125 0.125 0.375 x16
Mg 0.250 0.250 0.750 x4

---

Record 6
Starting from a crystal structure in Alexandria, relaxed with PBE, the X-ray powder pattern of NiSb3Te was simulated for λ = 1.5418 Å (Cu Kα).
No peak broadening, texture or thermal motion is included.

Most intense lines, 5° ≤ 2θ ≤ 70°, low angle first:
| two_theta | I (rel.) | index |
| --- | --- | --- |
| 26.5 | 17 | 2 0 0 |
| 31.8 | 31 | 2 1 0 |
| 32.5 | 100 | 1 1 2 |
| 34.9 | 16 | 0 2 0 |
| 44.3 | 15 | 2 2 0 |
| 44.9 | 12 | 1 2 2 |
| 47.4 | 23 | 3 0 2 |
| 48.9 | 15 | 0 0 4 |
| 57.7 | 11 | 4 1 0 |
| 61.1 | 11 | 1 3 2 |

Structural model:
abc: 6.718 5.146 7.451
angles: 90.00 90.06 90.00
Space group P2_1 (No. 4)
Asymmetric unit:
Ni 0.002 0.000 0.250 x2
Sb 0.179 0.749 0.500 x2
Sb 0.180 0.749 0.000 x2
Sb 0.298 0.199 0.750 x2
Te 0.309 0.292 0.250 x2

---

Record 7
Starting from a crystal structure in Alexandria, relaxed with PBE, the X-ray powder pattern of Ba6Li15Pd8 was simulated for λ = 1.5418 Å (Cu Kα).
No peak broadening, texture or thermal motion is included.

Most intense lines, 5° ≤ 2θ ≤ 70°, low angle first:
| two_theta | I (rel.) | index |
| --- | --- | --- |
| 10.8 | 28 | 1 1 1 |
| 20.7 | 30 | 3 1 1 |
| 21.6 | 58 | 2 2 2 |
| 27.3 | 26 | 3 3 1 |
| 28.0 | 27 | 4 2 0 |
| 35.7 | 100 | 4 4 0 |
| 42.1 | 26 | 6 2 2 |
| 49.2 | 18 | 7 3 1 |
| 56.3 | 15 | 6 6 2 |
| 64.1 | 26 | 8 4 4 |

Structural model:
abc: 14.238 14.238 14.238
angles: 90.00 90.00 90.00
Space group Fm-3m (No. 225)
Asymmetric unit:
Ba 0.000 0.000 0.247 x24
Li 0.000 0.000 0.000 x4
Li 0.000 0.250 0.250 x24
Li 0.182 0.182 0.318 x32
Pd 0.141 0.141 0.141 x32

---

Record 8
Starting from a crystal structure in Alexandria, relaxed with PBE, the X-ray powder pattern of CsHfCl14 was simulated for λ = 1.5418 Å (Cu Kα).
No peak broadening, texture or thermal motion is included.

Most intense lines, 5° ≤ 2θ ≤ 70°, low angle first:
| two_theta | I (rel.) | index |
| --- | --- | --- |
| 10.3 | 100 | 0 0 1 |
| 10.8 | 32 | 0 1 0 |
| 11.9 | 31 | 1 0 0 |
| 12.6 | 39 | 0 1 -1 |
| 18.3 | 59 | 1 1 0 |
| 20.4 | 32 | 0 1 -2 |
| 21.2 | 49 | 0 2 -1 |
| 22.7 | 35 | -2 1 1 |
| 31.4 | 38 | 0 3 -1 |
| 33.5 | 37 | 3 0 -1 |

Structural model:
abc: 8.248 8.773 9.459
angles: 100.94 108.67 102.44
Space group P1 (No. 1)
Asymmetric unit:
Cs 0.000 0.000 0.000 x1
Hf 0.296 0.637 0.903 x1
Cl 0.042 0.815 0.460 x1
Cl 0.178 0.463 0.619 x1
Cl 0.279 0.375 0.977 x1
Cl 0.308 0.886 0.820 x1
Cl 0.320 0.774 0.153 x1
Cl 0.373 0.408 0.276 x1
Cl 0.452 0.430 0.511 x1
Cl 0.597 0.653 0.916 x1
Cl 0.634 0.121 0.085 x1
Cl 0.663 0.081 0.667 x1
Cl 0.827 0.977 0.589 x1
Cl 0.850 0.267 0.274 x1
Cl 0.858 0.741 0.240 x1
Cl 0.965 0.553 0.786 x1

---

Record 9
Starting from a crystal structure in Alexandria, relaxed with PBE, the X-ray powder pattern of Cs4Pm3BiS8 was simulated for λ = 1.5418 Å (Cu Kα).
No peak broadening, texture or thermal motion is included.

Most intense lines, 5° ≤ 2θ ≤ 70°, low angle first:
| two_theta | I (rel.) | index |
| --- | --- | --- |
| 22.0 | 30 | 0 0 6 |
| 25.4 | 54 | 2 0 2 |
| 28.5 | 100 | 0 2 4 |
| 38.6 | 38 | 2 0 8 |
| 42.8 | 34 | 2 2 0 |
| 44.9 | 25 | 0 0 12 |
| 48.7 | 23 | 2 2 6 |
| 52.2 | 18 | 4 0 4 |
| 59.0 | 21 | 0 4 8 |
| 63.8 | 20 | 2 2 12 |

Structural model:
abc: 8.4476 8.4476 24.2370
angles: 90.00 90.00 120.00
Space group R-3m (No. 166, hexagonal axes)
Asymmetric unit:
Cs 0.0000 0.0000 0.0000 x3
Cs 0.0000 0.5000 0.0000 x9
Pm 0.0000 0.5000 0.5000 x9
Bi 0.0000 0.0000 0.5000 x3
S 0.0000 0.0000 0.2284 x6
S 0.0015 0.5007 0.7711 x18

---

Record 10
Starting from a crystal structure in Alexandria, relaxed with PBE, the X-ray powder pattern of Tb6Ga19Pt3 was simulated for λ = 1.5418 Å (Cu Kα).
No peak broadening, texture or thermal motion is included.

Most intense lines, 5° ≤ 2θ ≤ 70°, low angle first:
| two_theta | I (rel.) | index |
| --- | --- | --- |
| 22.8 | 15 | 4 0 0 |
| 34.0 | 44 | 0 0 6 |
| 34.5 | 17 | 6 0 0 |
| 35.0 | 84 | 1 1 -5 |
| 35.3 | 100 | 5 1 -1 |
| 42.4 | 16 | 5 1 -5 |
| 42.9 | 45 | 0 2 0 |
| 44.0 | 29 | 6 0 -6 |
| 49.7 | 16 | 5 1 5 |
| 63.1 | 22 | 6 2 -6 |

Structural model:
abc: 15.900 4.217 16.112
angles: 90.00 101.07 90.00
Space group Cm (No. 8)
Asymmetric unit:
Tb 0.000 0.000 0.000 x2
Tb 0.001 0.500 0.500 x2
Tb 0.162 0.500 0.341 x2
Tb 0.166 0.000 0.841 x2
Tb 0.320 0.500 0.178 x2
Tb 0.323 0.000 0.675 x2
Ga 0.016 0.000 0.359 x2
Ga 0.018 0.500 0.859 x2
Ga 0.084 0.000 0.633 x2
Ga 0.092 0.500 0.136 x2
Ga 0.140 0.000 0.485 x2
Ga 0.140 0.500 0.985 x2
Ga 0.180 0.000 0.199 x2
Ga 0.183 0.500 0.689 x2
Ga 0.227 0.000 0.049 x2
Ga 0.232 0.500 0.541 x2
Ga 0.306 0.500 0.981 x2
Ga 0.307 0.000 0.319 x2
Ga 0.308 0.500 0.814 x2
Ga 0.366 0.500 0.410 x2
Ga 0.368 0.000 0.904 x2
Ga 0.405 0.500 0.582 x2
Ga 0.417 0.000 0.094 x2
Ga 0.456 0.000 0.269 x2
Ga 0.457 0.500 0.758 x2
Pt 0.018 0.000 0.197 x2
Pt 0.027 0.500 0.704 x2
Pt 0.301 0.000 0.478 x2

---

Record 11
Starting from a crystal structure in Alexandria, relaxed with PBE, the X-ray powder pattern of Ce2Pm3Pb7 was simulated for λ = 1.5418 Å (Cu Kα).
No peak broadening, texture or thermal motion is included.

Most intense lines, 5° ≤ 2θ ≤ 70°, low angle first:
| two_theta | I (rel.) | index |
| --- | --- | --- |
| 7.7 | 12 | 0 2 0 |
| 15.1 | 8 | 0 0 1 |
| 28.9 | 15 | 1 5 1 |
| 29.8 | 41 | 2 0 0 |
| 30.5 | 38 | 0 0 2 |
| 34.8 | 100 | 1 7 1 |
| 43.2 | 30 | 2 0 2 |
| 56.1 | 31 | 3 7 1 |
| 57.0 | 25 | 1 7 3 |
| 64.9 | 7 | 2 14 0 |

Structural model:
abc: 5.998 22.927 5.854
angles: 90.00 90.00 90.00
Space group Cmmm (No. 65)
Asymmetric unit:
Ce 0.000 0.143 0.000 x4
Pm 0.000 0.345 0.500 x4
Pm 0.000 0.500 0.500 x2
Pb 0.000 0.000 0.000 x2
Pb 0.000 0.081 0.500 x4
Pb 0.000 0.283 0.000 x4
Pb 0.000 0.424 0.000 x4